Record 1
# MgFe4CuO8
Simulated powder diffraction line list, a wavelength of 1.5418 Å. Input: a structure optimized by DFT (PBE+U).

Cell and atoms:
```
MgFe4CuO8
1.0
5.1635 -2.9438 0.0000
5.1635 2.9438 0.0000
-3.2446 0.0000 4.8206
Mg Fe Cu O
1 4 1 8
Direct
0.0000 0.0000 0.0000 Mg
0.0000 0.5000 0.0000 Fe
0.3889 0.3889 0.6316 Fe
0.5000 0.0000 0.0000 Fe
0.6111 0.6111 0.3684 Fe
0.0000 0.0000 0.5000 Cu
0.2153 0.7432 0.2368 O
0.2454 0.2454 0.2291 O
0.2568 0.7847 0.7632 O
0.2688 0.2688 0.7922 O
0.7312 0.7312 0.2078 O
0.7432 0.2153 0.2368 O
0.7546 0.7546 0.7709 O
0.7847 0.2568 0.7632 O
```

The 10 most intense peaks (2θ = 10–90°), sorted by position:
2θ (°)	I_rel
18.5	39
30.1	53
34.9	85
35.8	100
36.0	78
43.8	33
57.7	30
62.3	40
62.6	39
63.2	20

=====

Record 2
# MnFe4CuO8
Simulated powder diffraction line list, a wavelength of 1.5418 Å. Input: a structure optimized by DFT (PBE+U).

Cell and atoms:
```
MnFe4CuO8
1.0
0.0000 4.2990 4.2990
4.2990 0.0000 4.2990
4.2990 4.2990 0.0000
Mn Fe Cu O
1 4 1 8
Direct
0.0000 0.0000 0.0000 Mn
0.3752 0.3752 0.3752 Fe
0.3752 0.3752 0.8745 Fe
0.3752 0.8745 0.3752 Fe
0.8745 0.3752 0.3752 Fe
0.7500 0.7500 0.7500 Cu
0.1384 0.1384 0.1384 O
0.1384 0.1384 0.5848 O
0.1384 0.5848 0.1384 O
0.1567 0.6144 0.6144 O
0.5848 0.1384 0.1384 O
0.6144 0.1567 0.6144 O
0.6144 0.6144 0.1567 O
0.6144 0.6144 0.6144 O
```

The 10 most intense peaks (2θ = 10–90°), sorted by position:
2θ (°)	I_rel
17.9	10
29.4	32
34.6	100
36.2	9
42.0	19
52.1	11
55.5	37
61.0	45
72.0	10
87.1	16